(1)
The following is a calculated powder diffraction line list of Tb4Sn3Pd. It was derived from a crystal structure in Alexandria, relaxed with GGA-PBE, using λ = 1.5418 Å (Cu Kα).

Structure:
```
data_Tb4Sn3Pd
_symmetry_space_group_name_H-M 'P m m 2'
_symmetry_Int_Tables_number 25
_symmetry_space_group_name_Hall 'P 2 -2'
_cell_length_a 4.317
_cell_length_b 4.393
_cell_length_c 11.319
_cell_angle_alpha 90.00
_cell_angle_beta 90.00
_cell_angle_gamma 90.00
loop_
_atom_site_label
_atom_site_type_symbol
_atom_site_fract_x
_atom_site_fract_y
_atom_site_fract_z
Tb1 Tb 0.000 0.000 0.000
Tb2 Tb 0.000 0.500 0.261
Tb3 Tb 0.500 0.000 0.473
Tb4 Tb 0.500 0.500 0.766
Sn1 Sn 0.000 0.000 0.720
Sn2 Sn 0.000 0.500 0.537
Sn3 Sn 0.500 0.500 0.044
Pd1 Pd 0.500 0.000 0.210
```

Main lines, in order of falling intensity (2θ from 15° to 90°):
h k l  Position (°2θ)  I (rel.)
1 1 1  30.08  100
1 1 3  37.71  64
0 0 4  31.62  30
0 2 0  41.10  25
0 2 4  52.73  24
2 0 0  41.85  24



(2)
The following is a calculated powder diffraction line list of Sc3Tl2Pt. It was derived from a crystal structure in Alexandria, relaxed with GGA-PBE, using λ = 1.5418 Å (Cu Kα).

Structure:
```
data_Sc3Tl2Pt
_symmetry_space_group_name_H-M 'C m m m'
_symmetry_Int_Tables_number 65
_symmetry_space_group_name_Hall '-C 2 2'
_cell_length_a 4.819
_cell_length_b 14.906
_cell_length_c 7.221
_cell_angle_alpha 90.00
_cell_angle_beta 90.00
_cell_angle_gamma 90.00
loop_
_atom_site_label
_atom_site_type_symbol
_atom_site_fract_x
_atom_site_fract_y
_atom_site_fract_z
Sc1 Sc 0.000 0.000 0.244
Sc2 Sc 0.000 0.325 0.215
Tl1 Tl 0.000 0.169 0.500
Tl2 Tl 0.000 0.500 0.000
Tl3 Tl 0.000 0.500 0.500
Pt1 Pt 0.000 0.144 0.000
```

Main lines, in order of falling intensity (2θ from 15° to 90°):
h k l  Position (°2θ)  I (rel.)
1 3 2  35.96  100
1 3 0  25.76  46
0 0 2  24.66  28
2 0 0  37.32  25
0 6 0  36.16  22
3 3 2  66.43  17



(3)
The following is a calculated powder diffraction line list of CeTi4S8. It was derived from a crystal structure in Alexandria, relaxed with GGA-PBE, using λ = 1.5418 Å (Cu Kα).

Structure:
```
data_CeTi4S8
_symmetry_space_group_name_H-M 'F -4 3 m'
_symmetry_Int_Tables_number 216
_symmetry_space_group_name_Hall 'F -4 2 3'
_cell_length_a 10.401
_cell_length_b 10.401
_cell_length_c 10.401
_cell_angle_alpha 90.00
_cell_angle_beta 90.00
_cell_angle_gamma 90.00
loop_
_atom_site_label
_atom_site_type_symbol
_atom_site_fract_x
_atom_site_fract_y
_atom_site_fract_z
Ce1 Ce 0.000 0.000 0.000
Ti1 Ti 0.111 0.111 0.389
S1 S 0.121 0.121 0.621
S2 S 0.145 0.145 0.145
```

Main lines, in order of falling intensity (2θ from 15° to 90°):
h k l  Position (°2θ)  I (rel.)
3 1 1  28.46  100
4 4 0  49.58  70
5 1 1  45.31  63
2 0 0  17.05  45
2 2 0  24.20  44
4 0 0  34.49  30



(4)
The following is a calculated powder diffraction line list of Ba2CuPd6Pb. It was derived from a crystal structure in Alexandria, relaxed with GGA-PBE, using λ = 1.5418 Å (Cu Kα).

Structure:
```
data_Ba2CuPd6Pb
_symmetry_space_group_name_H-M 'P -1'
_symmetry_Int_Tables_number 2
_symmetry_space_group_name_Hall '-P 1'
_cell_length_a 6.748
_cell_length_b 6.781
_cell_length_c 6.783
_cell_angle_alpha 62.21
_cell_angle_beta 62.25
_cell_angle_gamma 62.38
loop_
_atom_site_label
_atom_site_type_symbol
_atom_site_fract_x
_atom_site_fract_y
_atom_site_fract_z
Ba1 Ba 0.193 0.193 0.193
Cu1 Cu 0.000 0.000 0.000
Pd1 Pd 0.160 0.623 0.312
Pd2 Pd 0.314 0.159 0.623
Pd3 Pd 0.375 0.686 0.840
Pb1 Pb 0.500 0.500 0.500
```

Main lines, in order of falling intensity (2θ from 15° to 90°):
h k l  Position (°2θ)  I (rel.)
1 2 0  30.34  100
1 0 -1  25.44  54
2 0 1  30.44  50
0 3 1  45.32  40
2 -1 1  40.91  33
0 1 0  15.59  33



(5)
The following is a calculated powder diffraction line list of LaPrAsO. It was derived from a crystal structure in Alexandria, relaxed with GGA-PBE, using λ = 1.5418 Å (Cu Kα).

Structure:
```
data_LaPrAsO
_symmetry_space_group_name_H-M 'P 4/n m m'
_symmetry_Int_Tables_number 129
_cell_length_a 4.485
_cell_length_b 4.485
_cell_length_c 9.594
_cell_angle_alpha 90.00
_cell_angle_beta 90.00
_cell_angle_gamma 90.00
loop_
_symmetry_equiv_pos_as_xyz
'x,y,z'
'-x,-y,-z'
'-y+1/2,x,z'
'y+1/2,-x,-z'
'-x+1/2,-y+1/2,z'
'x+1/2,y+1/2,-z'
'y,-x+1/2,z'
'-y,x+1/2,-z'
'x+1/2,-y,-z'
'-x+1/2,y,z'
'-y,-x,-z'
'y,x,z'
'-x,y+1/2,-z'
'x,-y+1/2,z'
'y+1/2,x+1/2,-z'
'-y+1/2,-x+1/2,z'
loop_
_atom_site_label
_atom_site_type_symbol
_atom_site_fract_x
_atom_site_fract_y
_atom_site_fract_z
La1 La 0.250 0.250 0.105
Pr1 Pr 0.250 0.750 0.500
As1 As 0.250 0.250 0.708
O1 O 0.250 0.750 0.000
```

Main lines, in order of falling intensity (2θ from 15° to 90°):
h k l  Position (°2θ)  I (rel.)
1 1 1  29.67  100
1 0 2  27.22  82
2 0 0  40.21  67
1 1 2  33.88  58
1 0 3  34.44  48
1 1 4  47.53  34



(6)
The following is a calculated powder diffraction line list of LiCo2H7. It was derived from a crystal structure in Alexandria, relaxed with GGA-PBE, using λ = 1.5418 Å (Cu Kα).

Structure:
```
data_LiCo2H7
_symmetry_space_group_name_H-M 'C m m m'
_symmetry_Int_Tables_number 65
_symmetry_space_group_name_Hall '-C 2 2'
_cell_length_a 4.922
_cell_length_b 8.275
_cell_length_c 3.009
_cell_angle_alpha 90.00
_cell_angle_beta 90.00
_cell_angle_gamma 90.00
loop_
_atom_site_label
_atom_site_type_symbol
_atom_site_fract_x
_atom_site_fract_y
_atom_site_fract_z
Li1 Li 0.000 0.000 0.000
Co1 Co 0.000 0.306 0.500
H1 H 0.000 0.365 0.000
H2 H 0.000 0.500 0.500
H3 H 0.189 0.143 0.500
```

Main lines, in order of falling intensity (2θ from 15° to 90°):
h k l  Position (°2θ)  I (rel.)
0 2 0  21.48  100
0 0 1  29.69  83
1 3 0  37.37  72
0 2 1  36.94  59
2 0 0  36.51  51
1 3 1  48.44  50



(7)
The following is a calculated powder diffraction line list of CeNF5. It was derived from a crystal structure in Alexandria, relaxed with GGA-PBE, using λ = 1.5418 Å (Cu Kα).

Structure:
```
data_CeNF5
_symmetry_space_group_name_H-M 'C m c m'
_symmetry_Int_Tables_number 63
_symmetry_space_group_name_Hall '-C 2c 2'
_cell_length_a 8.592
_cell_length_b 14.451
_cell_length_c 3.911
_cell_angle_alpha 90.00
_cell_angle_beta 90.00
_cell_angle_gamma 90.00
loop_
_atom_site_label
_atom_site_type_symbol
_atom_site_fract_x
_atom_site_fract_y
_atom_site_fract_z
Ce1 Ce 0.000 0.107 0.250
N1 N 0.000 0.500 0.000
F1 F 0.000 0.398 0.250
F2 F 0.139 0.061 0.750
F3 F 0.164 0.205 0.250
```

Main lines, in order of falling intensity (2θ from 15° to 90°):
h k l  Position (°2θ)  I (rel.)
1 1 1  25.77  100
3 3 1  43.43  80
2 0 0  20.68  79
1 3 1  31.24  58
2 2 1  33.37  52
0 2 1  25.90  49



(8)
The following is a calculated powder diffraction line list of Th3ScGe6. It was derived from a crystal structure in Alexandria, relaxed with GGA-PBE, using λ = 1.5418 Å (Cu Kα).

Structure:
```
data_Th3ScGe6
_symmetry_space_group_name_H-M 'R -3 c'
_symmetry_Int_Tables_number 167
_symmetry_space_group_name_Hall '-R 3 2"c'
_cell_length_a 11.6612
_cell_length_b 11.6612
_cell_length_c 11.6374
_cell_angle_alpha 90.00
_cell_angle_beta 90.00
_cell_angle_gamma 120.00
loop_
_atom_site_label
_atom_site_type_symbol
_atom_site_fract_x
_atom_site_fract_y
_atom_site_fract_z
Th1 Th 0.0000 0.4332 0.2500
Sc1 Sc 0.0000 0.0000 0.0000
Ge1 Ge 0.0693 0.2113 0.3427
```

Main lines, in order of falling intensity (2θ from 15° to 90°):
h k l  Position (°2θ)  I (rel.)
0 2 4  35.59  100
1 3 1  32.89  93
1 1 3  27.62  34
1 1 0  15.20  23
4 1 3  47.45  21
5 2 0  56.96  18